Diffraction record for Ba2Ga4Au5. The X-ray powder pattern is computed, not measured: it uses a crystal structure in Alexandria, relaxed with GGA-PBE and Cu Kα (weighted mean of Kα1 and Kα2).

Principal peaks in the range 2θ = 10–80°, low angle first:
- 2θ = 16.33°, d = 5.427 Å, intensity 44, (0 2 0)
- 2θ = 23.79°, d = 3.741 Å, intensity 34, (1 1 3)
- 2θ = 28.39°, d = 3.144 Å, intensity 59, (0 2 4)
- 2θ = 32.86°, d = 2.725 Å, intensity 100, (2 2 0)
- 2θ = 33.01°, d = 2.714 Å, intensity 45, (0 4 0)
- 2θ = 33.45°, d = 2.679 Å, intensity 67, (1 3 3)
- 2θ = 36.83°, d = 2.440 Å, intensity 76, (2 0 4)
- 2θ = 40.53°, d = 2.226 Å, intensity 69, (2 2 4)
- 2θ = 40.65°, d = 2.219 Å, intensity 38, (0 4 4)
- 2θ = 47.13°, d = 1.928 Å, intensity 33, (0 0 8)
- 2θ = 58.62°, d = 1.575 Å, intensity 54, (4 0 0)
- 2θ = 58.86°, d = 1.569 Å, intensity 36, (2 6 0)

Atomic structure:
Unit cell a=6.303 b=10.855 c=15.428 alpha=90.00 beta=90.00 gamma=90.00
Space group Fmmm (No. 69)
Asymmetric unit:
Ba 0.000 0.000 0.138 [8 per cell]
Ga 0.000 0.162 0.373 [16 per cell]
Au 0.000 0.000 0.500 [4 per cell]
Au 0.250 0.250 0.000 [8 per cell]
Au 0.250 0.250 0.250 [8 per cell]